No. 1
For Y2AuN, a cell relaxed with PBE gives the theoretical X-ray diffraction stick pattern in this record (λ = 1.5418 Å (Cu Kα)).

Most intense lines, 15° ≤ 2θ ≤ 90°, low angle first:
3.069 Å, intensity 23
2.588 Å, intensity 100
2.409 Å, intensity 16
1.772 Å, intensity 23
1.462 Å, intensity 17
1.427 Å, intensity 18

Crystal structure
Cell: 3.544 3.544 14.453 Å, 90.00 90.00 120.00°
Sites, in units of the cell vectors:
Y  0.333  0.667  0.095
Y  0.333  0.667  0.405
Y  0.667  0.333  0.595
Y  0.667  0.333  0.905
Au  0.333  0.667  0.750
Au  0.667  0.333  0.250
N  0.000  0.000  0.000
N  0.000  0.000  0.500

=====

No. 2
For LaGa5CuIr, a cell relaxed with PBE gives the theoretical X-ray diffraction stick pattern in this record (λ = 1.5418 Å (Cu Kα)).

Most intense lines, 15° ≤ 2θ ≤ 90°, low angle first:
2.895 Å, intensity 78
2.601 Å, intensity 100
2.581 Å, intensity 64
2.051 Å, intensity 50
2.042 Å, intensity 96
1.447 Å, intensity 45

Crystal structure
Cell: 6.463 6.463 6.463 Å, 143.00 112.88 79.20°
Sites, in units of the cell vectors:
La  0.000  0.000  0.000
Ga  0.161  0.354  0.807
Ga  0.455  0.649  0.807
Ga  0.516  0.016  0.500
Ga  0.547  0.354  0.193
Ga  0.842  0.649  0.193
Cu  0.752  0.252  0.500
Ir  0.270  0.770  0.500

=====

No. 3
For Al5Co8, a cell relaxed with PBE gives the theoretical X-ray diffraction stick pattern in this record (λ = 1.5418 Å (Cu Kα)).

Most intense lines, 15° ≤ 2θ ≤ 90°, low angle first:
4.145 Å, intensity 44
2.122 Å, intensity 44
2.043 Å, intensity 100
2.027 Å, intensity 50
1.882 Å, intensity 74
1.765 Å, intensity 43

Crystal structure
Cell: 8.721 8.721 8.721 Å, 31.24 31.24 31.24°
Sites, in units of the cell vectors:
Al  0.000  0.000  0.000
Al  0.348  0.348  0.348
Al  0.451  0.451  0.451
Al  0.549  0.549  0.549
Al  0.652  0.652  0.652
Co  0.092  0.092  0.582
Co  0.092  0.582  0.092
Co  0.163  0.163  0.163
Co  0.418  0.908  0.908
Co  0.582  0.092  0.092
Co  0.837  0.837  0.837
Co  0.908  0.418  0.908
Co  0.908  0.908  0.418